1.
Simulated powder diffractogram
Compound: LiHgGe
Radiation: λ = 1.5418 Å (Cu Kα)
Structure: the GGA-PBE geometry in Alexandria

Structure:
a = 5.598 Å, b = 2.910 Å, c = 7.100 Å
α = 90.00°, β = 95.04°, γ = 90.00°
Space group P2/m (No. 10)
Symmetry-distinct sites (fractional):
Li: 0.221 0.000 0.218 x2
Hg: 0.265 0.500 0.871 x2
Ge: 0.000 0.500 0.500 x1
Ge: 0.500 0.500 0.500 x1

Top 8 peaks for 10° ≤ 2θ ≤ 90°, in order of falling intensity:
2theta  I (rel.)  hkl
30.7  100  0 1 0
19.4  95  1 0 -1
28.7  63  1 0 -2
35.6  54  2 0 1
21.1  53  1 0 1
31.1  51  1 0 2
36.6  46  1 1 -1
42.5  46  1 1 -2



2.
Simulated powder diffractogram
Compound: Rb2ScHBr6
Radiation: λ = 1.5418 Å (Cu Kα)
Structure: the GGA-PBE geometry in Alexandria

Structure:
a = 7.168 Å, b = 7.168 Å, c = 11.901 Å
α = 90.00°, β = 90.00°, γ = 90.00°
Space group I4/mmm (No. 139)
Symmetry-distinct sites (fractional):
Rb: 0.000 0.500 0.250 x4
Sc: 0.000 0.000 0.000 x2
H: 0.000 0.000 0.500 x2
Br: 0.000 0.000 0.222 x4
Br: 0.235 0.235 0.500 x8

Top 8 peaks for 10° ≤ 2θ ≤ 90°, in order of falling intensity:
2theta  I (rel.)  hkl
29.1  100  2 0 2
35.4  39  2 2 0
47.1  30  2 2 4
30.0  29  0 0 4
59.7  23  4 2 2
52.7  14  2 0 6
60.3  14  4 0 4
51.0  13  4 0 0



3.
Simulated powder diffractogram
Compound: Er7Ge2C2
Radiation: λ = 1.5418 Å (Cu Kα)
Structure: the GGA-PBE geometry in Alexandria

Structure:
a = 7.797 Å, b = 11.515 Å, c = 6.946 Å
α = 90.00°, β = 98.02°, γ = 90.00°
Space group C2/m (No. 12)
Symmetry-distinct sites (fractional):
Er: 0.000 0.000 0.000 x2
Er: 0.079 0.500 0.789 x4
Er: 0.246 0.186 0.757 x8
Ge: 0.000 0.316 0.500 x4
C: 0.220 0.500 0.110 x4

Top 8 peaks for 10° ≤ 2θ ≤ 90°, in order of falling intensity:
2theta  I (rel.)  hkl
29.8  100  1 3 1
28.3  86  1 3 -1
27.8  84  2 2 0
36.4  60  3 1 -1
20.1  48  0 2 1
35.8  46  1 3 -2
53.8  44  3 5 -1
25.9  43  0 0 2



4.
Simulated powder diffractogram
Compound: Ca2SbHPd6
Radiation: λ = 1.5418 Å (Cu Kα)
Structure: the GGA-PBE geometry in Alexandria

Structure:
a = 10.071 Å, b = 5.800 Å, c = 7.021 Å
α = 90.00°, β = 118.18°, γ = 90.00°
Space group C2/m (No. 12)
Symmetry-distinct sites (fractional):
Ca: 0.227 0.000 0.178 x4
Sb: 0.000 0.500 0.000 x2
H: 0.000 0.000 0.500 x2
Pd: 0.023 0.247 0.320 x8
Pd: 0.226 0.000 0.679 x4

Top 8 peaks for 10° ≤ 2θ ≤ 90°, in order of falling intensity:
2theta  I (rel.)  hkl
37.0  100  2 2 0
40.9  80  2 2 -2
20.1  59  1 1 -1
40.7  41  4 0 0
34.2  31  3 1 -2
43.4  31  2 2 1
20.0  30  2 0 0
64.1  28  6 2 -2



5.
Simulated powder diffractogram
Compound: Pu3Co3Ge
Radiation: λ = 1.5418 Å (Cu Kα)
Structure: the GGA-PBE geometry in Alexandria

Structure:
a = 4.169 Å, b = 9.387 Å, c = 12.887 Å
α = 90.00°, β = 90.00°, γ = 90.00°
Space group Cmcm (No. 63)
Symmetry-distinct sites (fractional):
Pu: 0.000 0.000 0.250 x4
Pu: 0.000 0.295 0.104 x8
Co: 0.000 0.293 0.750 x4
Co: 0.000 0.418 0.589 x8
Ge: 0.000 0.000 0.000 x4

Top 8 peaks for 10° ≤ 2θ ≤ 90°, in order of falling intensity:
2theta  I (rel.)  hkl
36.5  100  1 1 4
35.9  96  1 3 0
31.4  95  1 1 3
33.7  71  0 2 4
43.4  54  2 0 0
41.8  53  1 3 3
27.2  40  1 1 2
56.1  35  2 2 4



6.
Simulated powder diffractogram
Compound: Cu2B3Ir4
Radiation: λ = 1.5418 Å (Cu Kα)
Structure: the GGA-PBE geometry in Alexandria

Structure:
a = 2.831 Å, b = 2.864 Å, c = 25.691 Å
α = 90.00°, β = 90.00°, γ = 90.00°
Space group Amm2 (No. 38)
Symmetry-distinct sites (fractional):
Cu: 0.000 0.000 0.000 x2
Cu: 0.500 0.000 0.443 x2
B: 0.000 0.000 0.106 x2
B: 0.500 0.000 0.339 x2
B: 0.500 0.000 0.732 x2
Ir: 0.000 0.000 0.271 x2
Ir: 0.000 0.000 0.871 x2
Ir: 0.500 0.000 0.170 x2
Ir: 0.500 0.000 0.571 x2

Top 8 peaks for 10° ≤ 2θ ≤ 90°, in order of falling intensity:
2theta  I (rel.)  hkl
48.6  100  1 1 5
39.9  96  0 1 7
32.4  87  1 0 2
42.6  81  1 0 8
33.0  76  0 1 3
34.9  68  0 0 10
72.4  48  1 1 15
45.2  29  1 1 1



7.
Simulated powder diffractogram
Compound: LiLaCu2H6
Radiation: λ = 1.5418 Å (Cu Kα)
Structure: the GGA-PBE geometry in Alexandria

Structure:
a = 4.5738 Å, b = 4.5738 Å, c = 15.5948 Å
α = 90.00°, β = 90.00°, γ = 120.00°
Space group R-3m (No. 166, hexagonal axes)
Symmetry-distinct sites (fractional):
Li: 0.0000 0.0000 0.0000 x3
La: 0.0000 0.0000 0.5000 x3
Cu: 0.0000 0.0000 0.2867 x6
H: 0.0235 0.5118 0.5730 x18

Top 8 peaks for 10° ≤ 2θ ≤ 90°, in order of falling intensity:
2theta  I (rel.)  hkl
23.2  100  1 0 1
32.2  87  1 0 4
36.7  82  0 1 5
39.4  76  1 1 0
67.9  24  1 1 9
54.9  23  2 0 5
69.7  23  1 2 5
51.8  22  0 2 4



8.
Simulated powder diffractogram
Compound: Al2Zn3Ag7
Radiation: λ = 1.5418 Å (Cu Kα)
Structure: the GGA-PBE geometry in Alexandria

Structure:
a = 4.616 Å, b = 5.054 Å, c = 9.618 Å
α = 84.91°, β = 78.00°, γ = 70.52°
Space group P-1 (No. 2)
Symmetry-distinct sites (fractional):
Al: 0.217 0.349 0.209 x2
Zn: 0.000 0.500 0.500 x1
Zn: 0.407 0.156 0.887 x2
Ag: 0.015 0.904 0.273 x2
Ag: 0.196 0.700 0.962 x2
Ag: 0.403 0.506 0.657 x2
Ag: 0.500 0.000 0.500 x1

Top 8 peaks for 10° ≤ 2θ ≤ 90°, in order of falling intensity:
2theta  I (rel.)  hkl
39.2  100  0 2 -1
40.3  83  1 1 -3
39.6  72  -1 1 2
40.1  41  1 0 4
41.5  31  2 0 1
39.4  26  2 1 1
43.9  23  1 2 3
33.2  22  1 1 3



9.
Simulated powder diffractogram
Compound: PrHo2Er6
Radiation: λ = 1.5418 Å (Cu Kα)
Structure: the GGA-PBE geometry in Alexandria

Structure:
a = 10.594 Å, b = 10.594 Å, c = 5.002 Å
α = 90.00°, β = 90.00°, γ = 90.00°
Space group P4_2/mnm (No. 136)
Symmetry-distinct sites (fractional):
Pr: 0.000 0.000 0.000 x2
Ho: 0.168 0.168 0.500 x4
Er: 0.000 0.335 0.000 x8
Er: 0.168 0.832 0.500 x4

Top 8 peaks for 10° ≤ 2θ ≤ 90°, in order of falling intensity:
2theta  I (rel.)  hkl
31.0  100  3 0 1
35.9  51  3 3 0
61.6  43  6 3 1
51.7  36  6 0 0
84.5  18  9 0 1
64.6  12  6 0 2
87.3  11  9 3 0
87.2  6  3 3 4



10.
Simulated powder diffractogram
Compound: Rb2PIrBr6
Radiation: λ = 1.5418 Å (Cu Kα)
Structure: the GGA-PBE geometry in Alexandria

Structure:
a = 7.450 Å, b = 7.450 Å, c = 10.638 Å
α = 90.00°, β = 90.00°, γ = 90.00°
Space group I4/mmm (No. 139)
Symmetry-distinct sites (fractional):
Rb: 0.000 0.500 0.250 x4
P: 0.000 0.000 0.000 x2
Ir: 0.000 0.000 0.500 x2
Br: 0.000 0.000 0.257 x4
Br: 0.245 0.245 0.500 x8

Top 8 peaks for 10° ≤ 2θ ≤ 90°, in order of falling intensity:
2theta  I (rel.)  hkl
34.0  100  2 2 0
29.3  77  2 0 2
48.7  71  2 2 4
14.5  58  1 0 1
33.7  51  0 0 4
60.7  36  4 0 4
48.9  35  4 0 0
23.8  34  1 1 2



11.
Simulated powder diffractogram
Compound: Ce2Cd2Ge
Radiation: λ = 1.5418 Å (Cu Kα)
Structure: the GGA-PBE geometry in Alexandria

Structure:
a = 3.974 Å, b = 3.974 Å, c = 17.129 Å
α = 90.00°, β = 90.00°, γ = 90.00°
Space group I4/mmm (No. 139)
Symmetry-distinct sites (fractional):
Ce: 0.000 0.000 0.080 x4
Cd: 0.000 0.500 0.250 x4
Ge: 0.000 0.000 0.500 x2

Top 8 peaks for 10° ≤ 2θ ≤ 90°, in order of falling intensity:
2theta  I (rel.)  hkl
33.6  100  1 1 2
34.6  40  1 0 5
23.0  36  1 0 1
45.7  34  2 0 0
31.3  27  0 0 6
43.4  26  1 0 7
38.3  25  1 1 4
56.4  20  2 0 6



12.
Simulated powder diffractogram
Compound: Ho2Co4P3Ru
Radiation: λ = 1.5418 Å (Cu Kα)
Structure: the GGA-PBE geometry in Alexandria

Structure:
a = 3.880 Å, b = 3.880 Å, c = 9.445 Å
α = 90.00°, β = 90.00°, γ = 90.00°
Space group P-4m2 (No. 115)
Symmetry-distinct sites (fractional):
Ho: 0.000 0.500 0.241 x2
Co: 0.000 0.000 0.000 x1
Co: 0.000 0.500 0.633 x2
Co: 0.500 0.500 0.000 x1
P: 0.000 0.500 0.871 x2
P: 0.500 0.500 0.500 x1
Ru: 0.000 0.000 0.500 x1

Top 8 peaks for 10° ≤ 2θ ≤ 90°, in order of falling intensity:
2theta  I (rel.)  hkl
37.9  100  1 1 2
36.8  59  1 0 3
46.8  45  2 0 0
24.8  33  1 0 1
61.0  27  2 1 3
54.0  22  1 0 5
81.0  21  3 1 2
74.2  17  2 1 5